This entry pairs a crystal structure of PmSmI4 with its simulated powder diffractogram. Radiation: Cu Kα (weighted mean of Kα1 and Kα2). Structure: the GGA-PBE geometry in Alexandria.
Intensities are scaled so that the largest is 100.

Atomic structure:
```
PmSmI4
1.0
-3.112 3.112 6.033
3.112 -3.112 6.033
3.112 3.112 -6.033
Pm Sm I
1 1 4
direct
0.000 0.000 0.000
0.750 0.250 0.500
0.013 0.513 0.500
0.265 0.265 0.000
0.487 0.987 0.500
0.735 0.735 0.000
```

Main lines, in order of falling intensity (2θ = 5–70°):
2theta  I/Imax
28.69  100.0
41.70  66.7
29.61  42.5
16.02  40.2
41.02  37.8
51.40  36.1
26.38  35.4
39.37  24.4
25.04  17.6
67.27  17.3
67.76  15.7
33.03  13.8